This entry pairs a crystal structure of Cs3Tl4Hg4 with its simulated XRD peak list. Radiation: Cu Kα, 1.54184 Å. Structure: a crystal structure in Alexandria, relaxed with GGA-PBE.
Kinematic intensities with the Lorentz-polarization factor, no thermal factor.

The 10 most intense peaks (10° ≤ 2θ ≤ 90°), by angle:
| 2θ/deg | I_rel |
| --- | --- |
| 17.65 | 27 |
| 26.53 | 100 |
| 27.86 | 63 |
| 30.02 | 37 |
| 33.29 | 33 |
| 34.20 | 45 |
| 35.82 | 60 |
| 36.13 | 46 |
| 48.47 | 31 |
| 53.62 | 21 |

Structural model:
```
Cs3Tl4Hg4
1.0
-2.6217 4.5109 9.0503
2.6217 -4.5109 9.0503
2.6217 4.5109 -9.0503
Cs Tl Hg
3 4 4
Direct
0.0000 0.0000 0.0000
0.3759 0.8759 0.5000
0.6241 0.1241 0.5000
0.0128 0.3224 0.6904
0.3679 0.6776 0.6904
0.6321 0.3224 0.3096
0.9872 0.6776 0.3096
0.2192 0.2192 0.0000
0.3110 0.5000 0.8110
0.6890 0.5000 0.1890
0.7808 0.7808 0.0000
```